1.
For Li6V3CrP6O24, a structure optimized by DFT (GGA+U) gives the computed powder XRD pattern in this record (Cu Kα (weighted mean of Kα1 and Kα2)).
Intensities are scaled so that the largest is 100.

Structure:
```
Li6V3CrP6O24
1.0
8.6166 0.0000 0.0000
4.1537 7.5804 0.0000
4.1573 2.4518 7.1821
Li V Cr P O
6 3 1 6 24
Direct
0.0000 0.0000 0.0000
0.0954 0.5043 0.9074
0.2751 0.8576 0.6502
0.5086 0.6982 0.3001
0.7236 0.3535 0.1445
0.9033 0.1066 0.4961
0.1044 0.7056 0.5053
0.3943 0.9954 0.7882
0.6073 0.2128 0.0060
0.8954 0.4953 0.2972
0.0007 0.3044 0.6949
0.2056 0.1016 0.1886
0.2954 0.6024 0.1013
0.5017 0.3928 0.6072
0.7027 0.8972 0.4005
0.7943 0.8113 0.9039
0.0172 0.2676 0.2129
0.0561 0.4627 0.6660
0.1351 0.5448 0.1337
0.1560 0.1109 0.7189
0.1781 0.9432 0.3810
0.2215 0.0559 0.0289
0.2637 0.6567 0.2623
0.2955 0.7736 0.9195
0.3416 0.5866 0.5780
0.3770 0.1396 0.1524
0.4519 0.2316 0.6377
0.4863 0.4444 0.0787
0.5117 0.9224 0.5568
0.5478 0.3641 0.7692
0.6244 0.8489 0.8636
0.6650 0.4147 0.4153
0.7084 0.0775 0.2293
0.7315 0.7349 0.3486
0.7776 0.9711 0.9504
0.8143 0.6203 0.0670
0.8435 0.2814 0.8886
0.8615 0.8600 0.4638
0.9447 0.3340 0.5359
0.9848 0.7820 0.7428
```

Top 8 peaks for 2θ = 10–90°, sorted by position:
hkl  2theta  I (rel.)
0 1 1  14.4  17
0 1 -1  20.2  20
1 1 2  20.6  46
1 0 2  23.9  100
0 2 2  29.0  28
1 -2 0  31.3  12
1 3 2  32.7  21
1 1 -2  35.3  14



2.
For LiCrS2O8, a structure optimized by DFT (GGA+U) gives the computed powder XRD pattern in this record (Cu Kα (weighted mean of Kα1 and Kα2)).
Intensities are scaled so that the largest is 100.

Structure:
```
LiCrS2O8
1.0
8.3211 0.0000 0.0000
-4.1488 7.2236 0.0000
-4.1326 -2.4070 7.5117
Li Cr S O
3 3 6 24
Direct
0.0000 0.0000 0.0000
0.1329 0.7449 0.0863
0.3647 0.3792 0.0865
0.0389 0.5141 0.5290
0.6194 0.8082 0.4016
0.6216 0.3032 0.9057
0.1118 0.4089 0.2099
0.1185 0.2032 0.7102
0.5310 0.9025 0.7105
0.5429 0.1240 0.2083
0.8201 0.6904 0.2109
0.8262 0.6147 0.7097
0.0000 0.7962 0.8580
0.0412 0.2104 0.1598
0.0859 0.1959 0.8592
0.1438 0.4696 0.3817
0.1867 0.3983 0.6848
0.2939 0.1731 0.7465
0.3099 0.7767 0.6860
0.3302 0.5433 0.2245
0.3690 0.1542 0.1633
0.4636 0.9209 0.2243
0.5026 0.8566 0.5327
0.5906 0.1330 0.0650
0.5987 0.1089 0.7503
0.6337 0.4940 0.0669
0.6599 0.4756 0.7483
0.6860 0.8715 0.8467
0.7058 0.6468 0.5407
0.7083 0.7765 0.2289
0.7434 0.2610 0.3811
0.9174 0.0519 0.5416
0.9277 0.5208 0.6831
0.9339 0.6598 0.3811
0.9598 0.4540 0.0680
0.9737 0.8115 0.1597
```

Top 8 peaks for 2θ = 10–90°, sorted by position:
hkl  2theta  I (rel.)
0 1 0  12.9  18
-1 1 1  14.6  61
1 0 -2  20.0  37
1 -2 1  24.4  100
-2 1 2  24.5  29
2 0 0  29.4  23
1 1 1  32.1  35
-3 1 2  33.1  18